Record 1
Cs2Dy2NpSe6: calculated X-ray powder pattern (Cu Kα), based on the GGA-PBE geometry in Alexandria.
No peak broadening, texture or thermal motion is included.

Structure:
Unit cell a=7.261 b=12.569 c=8.936 alpha=90.00 beta=106.10 gamma=90.00
Space group C2/m (No. 12)
Inequivalent atoms, fractional coordinates:
Cs1 0.000 0.169 0.000 [4 per cell]
Dy1 0.000 0.333 0.500 [4 per cell]
Np1 0.000 0.000 0.500 [2 per cell]
Se1 0.226 0.164 0.682 [8 per cell]
Se2 0.233 0.500 0.681 [4 per cell]

Principal peaks in the range 2θ from 10° to 80°, by angle:
- (0 0 1), 2θ = 10.30°, intensity 81
- (1 1 0), 2θ = 14.52°, intensity 13
- (0 0 2), 2θ = 20.69°, intensity 18
- (1 3 -1), 2θ = 25.50°, intensity 16
- (2 0 -2), 2θ = 28.14°, intensity 52
- (1 3 1), 2θ = 28.27°, intensity 100
- (1 3 2), 2θ = 34.78°, intensity 19
- (1 3 -3), 2θ = 37.27°, intensity 33
- (2 0 2), 2θ = 37.46°, intensity 18
- (0 6 0), 2θ = 43.17°, intensity 65
- (2 6 -2), 2θ = 52.34°, intensity 18
- (4 6 0), 2θ = 70.20°, intensity 15


Record 2
Cs3DyO3: calculated X-ray powder pattern (Cu Kα), based on the GGA-PBE geometry in Alexandria.
No peak broadening, texture or thermal motion is included.

Structure:
Unit cell a=7.947 b=13.016 c=7.761 alpha=90.00 beta=100.92 gamma=90.00
Space group C2/m (No. 12)
Inequivalent atoms, fractional coordinates:
Cs1 0.000 0.216 0.000 [4 per cell]
Cs2 0.000 0.262 0.500 [4 per cell]
Cs3 0.145 0.500 0.852 [4 per cell]
Dy1 0.171 0.000 0.653 [4 per cell]
O1 0.108 0.000 0.364 [4 per cell]
O2 0.202 0.365 0.233 [8 per cell]

Principal peaks in the range 2θ from 10° to 80°, by angle:
- (1 1 -1), 2θ = 16.14°, intensity 26
- (1 1 -2), 2θ = 24.94°, intensity 43
- (1 3 -1), 2θ = 25.25°, intensity 31
- (2 2 0), 2θ = 26.64°, intensity 85
- (0 2 2), 2θ = 27.15°, intensity 100
- (0 4 0), 2θ = 27.39°, intensity 88
- (1 1 2), 2θ = 28.78°, intensity 21
- (2 0 -2), 2θ = 29.50°, intensity 26
- (2 2 1), 2θ = 30.88°, intensity 26
- (1 3 2), 2θ = 34.92°, intensity 52
- (4 2 0), 2θ = 48.73°, intensity 24
- (0 2 4), 2θ = 49.86°, intensity 41